1.
For Y4Cu3Ag, a DFT-relaxed cell (PBE, Alexandria) gives the calculated XRD peak list in this record (λ = 1.5418 Å (Cu Kα)).
Lines closer than 0.1° are merged.

a b c (Å): 3.519 5.007 9.976
angles (deg): 90.00 90.00 90.00
Fractional coordinates of all 8 atoms:
1 Y 0.000 0.000 0.000
2 Y 0.000 0.000 0.500
3 Y 0.000 0.500 0.241
4 Y 0.000 0.500 0.759
5 Cu 0.500 0.000 0.249
6 Cu 0.500 0.000 0.751
7 Cu 0.500 0.500 0.000
8 Ag 0.500 0.500 0.500

The 10 most intense peaks (15 to 90 degrees two-theta), low angle first:
d (Å)  2theta  I (rel.)
2.503  35.9  20.3
2.494  36.0  100.0
1.767  51.7  13.5
1.760  52.0  6.8
1.443  64.6  13.5
1.440  64.8  19.7
1.438  64.8  6.6
1.247  76.4  9.9
1.117  87.3  8.4
1.113  87.6  5.7

---

2.
For Zn7CuAg12, a DFT-relaxed cell (PBE, Alexandria) gives the calculated XRD peak list in this record (λ = 1.5418 Å (Cu Kα)).
Lines closer than 0.1° are merged.

a b c (Å): 7.133 7.133 7.133
angles (deg): 94.36 94.36 94.36
Fractional coordinates of all 20 atoms:
1 Zn 0.000 0.000 0.000
2 Zn 0.160 0.301 0.458
3 Zn 0.301 0.458 0.160
4 Zn 0.458 0.160 0.301
5 Zn 0.542 0.840 0.699
6 Zn 0.699 0.542 0.840
7 Zn 0.840 0.699 0.542
8 Cu 0.500 0.500 0.500
9 Ag 0.001 0.333 0.889
10 Ag 0.111 0.999 0.667
11 Ag 0.187 0.615 0.703
12 Ag 0.297 0.813 0.385
13 Ag 0.333 0.889 0.001
14 Ag 0.385 0.297 0.813
15 Ag 0.615 0.703 0.187
16 Ag 0.667 0.111 0.999
17 Ag 0.703 0.187 0.615
18 Ag 0.813 0.385 0.297
19 Ag 0.889 0.001 0.333
20 Ag 0.999 0.667 0.111

The 10 most intense peaks (15 to 90 degrees two-theta), low angle first:
d (Å)  2theta  I (rel.)
3.071  29.1  31.9
2.616  34.3  16.8
2.454  36.6  100.0
2.299  39.2  28.2
2.207  40.9  21.5
2.188  41.3  56.1
2.153  42.0  30.1
2.034  44.6  16.3
1.953  46.5  33.1
1.753  52.2  18.9

---

3.
For ZnCu2Ag, a DFT-relaxed cell (PBE, Alexandria) gives the calculated XRD peak list in this record (λ = 1.5418 Å (Cu Kα)).
Lines closer than 0.1° are merged.

a b c (Å): 3.999 3.917 7.220
angles (deg): 90.00 90.00 90.00
Fractional coordinates of all 8 atoms:
1 Zn 0.250 0.000 0.153
2 Zn 0.750 0.000 0.847
3 Cu 0.250 0.000 0.607
4 Cu 0.250 0.500 0.391
5 Cu 0.750 0.000 0.393
6 Cu 0.750 0.500 0.609
7 Ag 0.250 0.500 0.862
8 Ag 0.750 0.500 0.138

The 10 most intense peaks (15 to 90 degrees two-theta), low angle first:
d (Å)  2theta  I (rel.)
2.212  40.8  100.0
2.000  45.4  19.3
1.958  46.4  18.0
1.805  50.6  10.8
1.399  66.9  11.2
1.340  70.3  7.6
1.327  71.0  7.3
1.191  80.7  12.1
1.174  82.1  11.5
1.106  88.4  14.1

---

4.
For Zn9CuAg2, a DFT-relaxed cell (PBE, Alexandria) gives the calculated XRD peak list in this record (λ = 1.5418 Å (Cu Kα)).
Lines closer than 0.1° are merged.

a b c (Å): 4.501 6.633 6.944
angles (deg): 96.92 105.66 105.90
Fractional coordinates of all 12 atoms:
1 Zn 0.000 0.000 0.000
2 Zn 0.092 0.817 0.309
3 Zn 0.123 0.414 0.168
4 Zn 0.389 0.284 0.518
5 Zn 0.500 0.305 0.966
6 Zn 0.500 0.695 0.034
7 Zn 0.611 0.716 0.482
8 Zn 0.877 0.586 0.832
9 Zn 0.908 0.183 0.691
10 Cu 0.000 0.500 0.500
11 Ag 0.328 0.912 0.726
12 Ag 0.672 0.088 0.274

The 10 most intense peaks (15 to 90 degrees two-theta), low angle first:
d (Å)  2theta  I (rel.)
2.748  32.6  20.0
2.674  33.5  21.2
2.444  36.8  26.8
2.355  38.2  48.5
2.239  40.3  100.0
2.172  41.6  74.4
2.165  41.7  39.2
2.138  42.3  75.0
2.114  42.8  41.3
1.935  47.0  24.1

---

- Number 1 is which compound?
  Y4Cu3Ag

---

Repeat the third record exactly.
For ZnCu2Ag, a DFT-relaxed cell (PBE, Alexandria) gives the calculated XRD peak list in this record (λ = 1.5418 Å (Cu Kα)).
Lines closer than 0.1° are merged.

a b c (Å): 3.999 3.917 7.220
angles (deg): 90.00 90.00 90.00
Fractional coordinates of all 8 atoms:
1 Zn 0.250 0.000 0.153
2 Zn 0.750 0.000 0.847
3 Cu 0.250 0.000 0.607
4 Cu 0.250 0.500 0.391
5 Cu 0.750 0.000 0.393
6 Cu 0.750 0.500 0.609
7 Ag 0.250 0.500 0.862
8 Ag 0.750 0.500 0.138

The 10 most intense peaks (15 to 90 degrees two-theta), low angle first:
d (Å)  2theta  I (rel.)
2.212  40.8  100.0
2.000  45.4  19.3
1.958  46.4  18.0
1.805  50.6  10.8
1.399  66.9  11.2
1.340  70.3  7.6
1.327  71.0  7.3
1.191  80.7  12.1
1.174  82.1  11.5
1.106  88.4  14.1